The following is a theoretical XRD peak list of Cs2VHO4. It was derived from DFT lattice parameters and positions (PBE+U), using copper Kα.
Neutral-atom scattering factors, no anomalous dispersion.

Largest 8 diffraction maxima, low angle first, 2θ = 10–90°:
two_theta, I (rel.)
20.14, 19
24.09, 28
26.45, 100
28.25, 73
32.59, 30
32.83, 38
43.85, 25
55.48, 23

Cell and atoms:
```
16
Lattice="2.748 -6.404 0.000 2.748 6.404 0.000 0.000 0.000 9.048" Properties=species:S:1:pos:R:3 pbc="T T T"
Cs 2.748 5.640 4.524
Cs 2.748 1.483 3.119
Cs 2.748 -1.483 7.643
Cs 2.748 -5.640 0.000
V 2.748 2.510 6.993
V 2.748 -2.510 2.470
H 2.748 4.233 1.574
H 2.748 -4.233 6.098
O 1.231 2.111 6.120
O 2.748 4.198 7.289
O 2.748 1.651 8.477
O 1.231 -2.111 1.596
O 4.265 2.111 6.120
O 2.748 -1.651 3.953
O 2.748 -4.198 2.765
O 4.265 -2.111 1.596
```

The following is a theoretical XRD peak list of Na4MgMo4O10. It was derived from DFT lattice parameters and positions (PBE+U), using copper Kα.
Neutral-atom scattering factors, no anomalous dispersion.

Largest 8 diffraction maxima, low angle first, 2θ = 10–90°:
two_theta, I (rel.)
20.82, 100
24.69, 66
29.34, 39
29.89, 37
31.91, 25
32.13, 55
32.90, 32
42.37, 26

Cell and atoms:
```
19
Lattice="7.719 -3.044 0.000 7.719 3.044 0.000 -2.135 0.000 5.589" Properties=species:S:1:pos:R:3 pbc="T T T"
Na 1.260 0.000 0.699
Na 4.216 0.625 2.252
Na 9.088 0.625 3.337
Na 12.044 0.000 4.890
Mg 6.652 -0.508 2.794
Mo 6.652 2.665 2.794
Mo 2.051 0.424 4.581
Mo 7.719 -0.303 0.000
Mo 11.253 0.424 1.008
O 1.115 -0.226 3.038
O 6.710 0.994 1.412
O 3.497 -0.674 0.554
O 6.594 0.994 4.176
O 3.806 -0.304 4.292
O 9.498 -0.304 1.297
O 6.801 -1.835 1.306
O 6.502 -1.835 4.283
O 9.806 -0.674 5.034
O 12.189 -0.226 2.550
```

The following is a theoretical XRD peak list of MnOF. It was derived from DFT lattice parameters and positions (PBE+U), using copper Kα.
Neutral-atom scattering factors, no anomalous dispersion.

Largest 8 diffraction maxima, low angle first, 2θ = 10–90°:
two_theta, I (rel.)
22.36, 100
25.28, 69
38.28, 25
41.15, 34
47.88, 21
48.91, 20
52.97, 21
53.45, 15

Cell and atoms:
```
6
Lattice="3.800 0.000 0.000 -0.005 4.387 0.000 -1.890 -2.182 4.702" Properties=species:S:1:pos:R:3 pbc="T T T"
Mn 0.006 1.101 1.262
Mn 1.899 1.103 3.440
O 0.005 1.104 3.171
O 1.901 1.101 1.531
F -0.012 3.289 0.701
F 1.917 -1.084 4.001
```

The following is a theoretical XRD peak list of LiMnF4. It was derived from DFT lattice parameters and positions (PBE+U), using copper Kα.
Neutral-atom scattering factors, no anomalous dispersion.

Largest 8 diffraction maxima, low angle first, 2θ = 10–90°:
two_theta, I (rel.)
18.52, 100
21.76, 25
30.21, 13
33.56, 33
41.48, 40
44.37, 14
55.84, 14
62.35, 19

Cell and atoms:
```
12
Lattice="2.958 -4.083 0.000 2.958 4.083 0.000 0.000 0.000 6.432" Properties=species:S:1:pos:R:3 pbc="T T T"
Li 2.958 2.968 4.824
Li 2.958 -2.968 1.608
Mn 2.958 0.000 0.000
Mn 2.958 0.000 3.216
F 1.648 0.112 1.608
F 2.958 1.827 3.338
F 2.958 1.827 6.310
F 1.648 -0.112 4.824
F 4.268 0.112 1.608
F 2.958 -1.827 0.122
F 2.958 -1.827 3.094
F 4.268 -0.112 4.824
```

The following is a theoretical XRD peak list of Na2NiPCO7. It was derived from DFT lattice parameters and positions (PBE+U), using copper Kα.
Neutral-atom scattering factors, no anomalous dispersion.

Largest 8 diffraction maxima, low angle first, 2θ = 10–90°:
two_theta, I (rel.)
16.58, 35
16.73, 34
20.16, 34
21.86, 37
26.06, 50
26.88, 100
33.48, 37
34.87, 52

Cell and atoms:
```
48
Lattice="5.149 0.000 0.000 0.240 11.072 0.000 0.264 3.225 10.692" Properties=species:S:1:pos:R:3 pbc="T T T"
Na 0.000 0.000 0.000
Na 0.263 5.307 7.856
Na 2.945 12.424 5.247
Na 2.742 3.591 2.428
Na 3.010 8.731 10.572
Na 5.378 12.706 7.557
Na 5.367 9.149 2.468
Na 5.380 7.090 5.306
Ni 3.023 4.920 9.756
Ni 3.012 8.799 4.382
Ni 5.341 9.073 8.654
Ni 5.103 1.860 3.327
P 0.515 10.436 5.601
P 0.268 3.346 0.288
P 2.697 11.292 2.104
P 2.722 7.404 7.468
C 0.613 10.985 10.163
C 0.369 3.826 4.808
C 2.602 2.929 8.229
C 2.619 6.852 2.931
O 0.536 4.806 5.577
O 0.565 8.755 0.212
O 1.148 11.519 2.290
O 1.183 7.647 7.651
O 1.555 10.271 9.616
O 1.348 3.138 4.281
O 1.608 3.582 8.771
O 1.647 7.549 3.465
O 2.033 10.189 5.324
O 1.813 3.134 0.128
O 2.663 13.037 7.429
O 2.434 5.874 2.168
O 3.051 5.966 7.960
O 2.801 0.311 0.600
O 3.050 9.860 2.574
O 3.067 7.430 5.957
O 3.200 1.299 2.934
O 3.499 8.456 8.281
O 3.796 3.342 8.574
O 3.799 7.286 3.277
O 4.572 10.591 9.816
O 4.338 3.378 4.474
O 4.880 9.373 4.797
O 4.949 5.476 10.161
O 5.297 7.989 10.490
O 5.050 3.265 1.794
O 5.331 11.895 5.163
O 5.373 10.403 7.112
```

The following is a theoretical XRD peak list of Li2V3P4O14. It was derived from DFT lattice parameters and positions (PBE+U), using copper Kα.
Neutral-atom scattering factors, no anomalous dispersion.

Largest 8 diffraction maxima, low angle first, 2θ = 10–90°:
two_theta, I (rel.)
12.70, 68
14.86, 20
17.22, 55
27.00, 46
28.68, 48
29.28, 100
29.79, 65
35.36, 31

Cell and atoms:
```
46
Lattice="7.433 0.000 0.000 0.000 7.938 0.000 -3.333 0.000 9.023" Properties=species:S:1:pos:R:3 pbc="T T T"
Li 1.055 0.636 1.288
Li -0.611 3.333 5.800
Li 4.711 4.605 3.223
Li 3.045 7.302 7.735
V 0.703 1.034 4.323
V -0.964 2.935 8.835
V 3.717 0.000 0.000
V 2.050 3.969 4.512
V 5.064 5.003 0.189
V 3.397 6.904 4.700
P -1.665 0.415 6.484
P 0.001 3.554 1.973
P 2.186 5.583 1.735
P 0.520 6.324 6.247
P 3.581 1.614 2.776
P 1.914 2.355 7.288
P 4.099 4.384 7.051
P 5.765 7.523 2.539
O -1.855 4.039 7.190
O -0.188 7.868 2.679
O -1.103 1.370 5.429
O 0.563 2.599 0.918
O 0.696 5.010 1.738
O -0.971 6.897 6.250
O -1.278 0.887 7.918
O 0.389 3.082 3.407
O 0.486 4.960 5.586
O 2.153 6.947 1.075
O 3.074 4.595 0.952
O 1.408 7.312 5.464
O 3.162 1.623 1.284
O 1.495 2.346 5.796
O 2.605 5.592 3.228
O 0.938 6.315 7.739
O 2.693 0.626 3.559
O 1.026 3.343 8.071
O 1.948 0.991 7.949
O 3.614 2.978 3.437
O 3.711 4.856 5.616
O 5.378 7.051 1.105
O 5.071 1.041 2.774
O 3.404 2.928 7.285
O 3.537 5.339 8.106
O 5.203 6.568 3.594
O 4.288 0.070 6.345
O 5.955 3.899 1.833
```

The following is a theoretical XRD peak list of LiNi2O4. It was derived from DFT lattice parameters and positions (PBE+U), using copper Kα.
Neutral-atom scattering factors, no anomalous dispersion.

Largest 8 diffraction maxima, low angle first, 2θ = 10–90°:
two_theta, I (rel.)
18.82, 78
20.39, 100
33.86, 41
37.00, 58
37.87, 60
46.96, 60
62.06, 49
65.89, 39

Cell and atoms:
```
28
Lattice="5.670 0.000 0.000 -2.835 4.911 0.000 0.000 0.000 9.428" Properties=species:S:1:pos:R:3 pbc="T T T"
Li 0.000 0.000 0.000
Li 0.000 0.000 4.714
Li 0.000 3.274 1.019
Li 2.835 1.637 5.733
Ni 0.000 1.659 7.370
Ni -1.398 4.081 7.370
Ni 0.000 3.274 4.783
Ni 1.437 0.830 2.656
Ni 1.398 4.081 7.370
Ni 2.835 1.637 0.069
Ni 4.233 0.830 2.656
Ni 2.835 3.251 2.656
O 0.000 0.000 1.781
O 0.000 0.000 6.495
O -1.273 2.539 6.272
O 0.000 1.560 3.688
O -1.484 4.131 3.688
O 1.351 0.780 8.402
O 0.000 3.274 8.337
O 1.273 2.539 6.272
O 0.000 4.744 6.272
O 2.835 0.167 1.558
O 1.562 2.372 1.558
O 2.835 1.637 3.623
O 1.484 4.131 3.688
O 4.319 0.780 8.402
O 2.835 3.350 8.402
O 4.108 2.372 1.558
```